Simulated powder X-ray diffraction pattern of K3UF3 for Cu Kα (weighted mean of Kα1 and Kα2), from DFT lattice parameters and positions (GGA-PBE).
Neutral-atom scattering factors, no anomalous dispersion.

Most intense lines, 2θ from 10° to 90°, by angle:
hkl 0 1 0, 15.7°, 5.655 Å, rel. 1000
hkl 1 0 -1, 15.8°, 5.614 Å, rel. 551
hkl 0 0 1, 16.7°, 5.297 Å, rel. 398
hkl 1 -1 0, 18.6°, 4.771 Å, rel. 276
hkl -1 1 1, 25.1°, 3.545 Å, rel. 887
hkl 1 1 0, 25.4°, 3.508 Å, rel. 399
hkl 1 1 -2, 25.7°, 3.471 Å, rel. 341
hkl 0 2 -1, 26.7°, 3.333 Å, rel. 257
hkl 2 0 -1, 26.9°, 3.318 Å, rel. 246
hkl 0 1 1, 28.5°, 3.129 Å, rel. 210
hkl 1 -2 1, 30.9°, 2.892 Å, rel. 215
hkl 3 -1 0, 46.2°, 1.967 Å, rel. 213

Structure:
Lattice parameters (Å, degrees): 6.639 6.669 7.004 117.10 117.16 91.61
Space group P1 (No. 1)
One atom of each set of equivalent atoms:
K 0.000 0.000 0.000 x1
K 0.230 0.730 0.492 x1
K 0.719 0.291 0.515 x1
U 0.457 0.506 0.989 x1
F 0.159 0.622 0.801 x1
F 0.366 0.389 0.203 x1
F 0.706 0.638 0.910 x1